No. 1
Structure and computed PXRD pattern of CeTh2WN5 (a crystal structure in Alexandria, relaxed with GGA-PBE; Cu Kα (weighted mean of Kα1 and Kα2)).
Kinematic intensities with the Lorentz-polarization factor, no thermal factor.

Atomic structure:
```
data_CeTh2WN5
_chemical_formula_sum 'Ce2 Th4 W2 N10'
_space_group_name_H-M_alt 'P 4/m b m'
_space_group_IT_number 127
_space_group_name_Hall '-P 4 2ab'
_cell_length_a 6.8536
_cell_length_b 6.8536
_cell_length_c 5.9467
_cell_angle_alpha 90.00
_cell_angle_beta 90.00
_cell_angle_gamma 90.00
loop_
_atom_site_label
_atom_site_fract_x
_atom_site_fract_y
_atom_site_fract_z
Ce1 0.0000 0.0000 0.0000
Th1 0.1720 0.3280 0.5000
W1 0.0000 0.5000 0.0000
N1 0.0000 0.0000 0.5000
N2 0.1431 0.6431 0.2351
```

Main lines, in order of rising 2θ (15° ≤ 2θ ≤ 90°):
29.14°, intensity 20; 30.09°, intensity 100; 32.87°, intensity 40; 37.10°, intensity 15; 42.35°, intensity 24; 44.49°, intensity 11; 48.46°, intensity 14; 53.40°, intensity 15; 55.21°, intensity 14; 57.57°, intensity 10

No. 2
Structure and computed PXRD pattern of RbCuBr2 (a crystal structure in Alexandria, relaxed with GGA-PBE; Cu Kα (weighted mean of Kα1 and Kα2)).
Kinematic intensities with the Lorentz-polarization factor, no thermal factor.

Atomic structure:
```
data_RbCuBr2
_chemical_formula_sum 'Rb4 Cu4 Br8'
_space_group_name_H-M_alt 'P n a 21'
_space_group_IT_number 33
_space_group_name_Hall 'P 2c -2n'
_cell_length_a 7.4294
_cell_length_b 10.5930
_cell_length_c 6.7788
_cell_angle_alpha 90.00
_cell_angle_beta 90.00
_cell_angle_gamma 90.00
loop_
_atom_site_label
_atom_site_fract_x
_atom_site_fract_y
_atom_site_fract_z
Rb1 0.1523 0.1286 0.0000
Cu1 0.0319 0.3659 0.5133
Br1 0.0862 0.4324 0.1710
Br2 0.1490 0.8129 0.1244
```

Main lines, in order of rising 2θ (15° ≤ 2θ ≤ 90°):
19.61°, intensity 47; 24.46°, intensity 67; 26.29°, intensity 62; 27.38°, intensity 100; 28.50°, intensity 35; 30.99°, intensity 67; 33.63°, intensity 38; 35.06°, intensity 42; 44.70°, intensity 25; 45.31°, intensity 52